This entry pairs a crystal structure of Pr4NdS7 with its simulated XRD peak list. Radiation: a wavelength of 1.5418 Å. Structure: the PBE geometry in Alexandria.
Intensities are scaled so that the largest is 1000.

Structure:
a b c (Å): 13.5175 3.9890 12.0146
angles (deg): 90.00 105.02 90.00
Space group Cm (No. 8)
Asymmetric unit:
Pr: 0.0000 0.0000 0.0000 x2
Pr: 0.0879 0.5000 0.3886 x2
Pr: 0.1895 0.0000 0.7687 x2
Pr: 0.3886 0.5000 0.5779 x2
Nd: 0.2768 0.5000 0.1575 x2
S: 0.0482 0.5000 0.6292 x2
S: 0.1288 0.5000 0.9308 x2
S: 0.1501 0.0000 0.2271 x2
S: 0.2289 0.0000 0.5278 x2
S: 0.3454 0.5000 0.7936 x2
S: 0.3871 0.0000 0.0787 x2
S: 0.4315 0.5000 0.3620 x2

Peak list (10 most intense, 5° ≤ 2θ ≤ 70°, sorted by position)
index, Position (°2θ), I/Imax
2 0 2, 23.0, 1000
2 0 -3, 23.5, 862
1 1 1, 25.1, 363
4 0 -1, 26.4, 421
3 1 -1, 30.0, 423
3 1 0, 30.4, 307
3 1 -2, 31.6, 673
3 1 1, 32.7, 445
1 1 4, 40.5, 339
0 2 0, 45.5, 327

This entry pairs a crystal structure of SbTeH with its simulated XRD peak list. Radiation: a wavelength of 1.5418 Å. Structure: the PBE geometry in Alexandria.
Intensities are scaled so that the largest is 1000.

Structure:
a b c (Å): 3.1368 4.4241 6.2928
angles (deg): 107.33 104.29 90.78
Space group P1 (No. 1)
Asymmetric unit:
Sb: 0.0000 0.0000 0.0000 x1
Te: 0.2433 0.2166 0.4833 x1
H: 0.0023 0.3936 0.9884 x1

Peak list (10 most intense, 5° ≤ 2θ ≤ 70°, sorted by position)
index, Position (°2θ), I/Imax
0 1 0, 21.1, 1000
0 1 -1, 21.9, 666
1 0 -1, 29.5, 768
0 1 1, 29.9, 235
0 0 2, 30.9, 642
0 1 -2, 31.6, 300
1 -1 0, 34.9, 454
1 1 -1, 35.3, 438
1 0 1, 36.9, 337
0 2 -1, 40.9, 290

What did the second record say?
This entry pairs a crystal structure of SbTeH with its simulated XRD peak list. Radiation: a wavelength of 1.5418 Å. Structure: the PBE geometry in Alexandria.
Intensities are scaled so that the largest is 1000.

Structure:
a b c (Å): 3.1368 4.4241 6.2928
angles (deg): 107.33 104.29 90.78
Space group P1 (No. 1)
Asymmetric unit:
Sb: 0.0000 0.0000 0.0000 x1
Te: 0.2433 0.2166 0.4833 x1
H: 0.0023 0.3936 0.9884 x1

Peak list (10 most intense, 5° ≤ 2θ ≤ 70°, sorted by position)
index, Position (°2θ), I/Imax
0 1 0, 21.1, 1000
0 1 -1, 21.9, 666
1 0 -1, 29.5, 768
0 1 1, 29.9, 235
0 0 2, 30.9, 642
0 1 -2, 31.6, 300
1 -1 0, 34.9, 454
1 1 -1, 35.3, 438
1 0 1, 36.9, 337
0 2 -1, 40.9, 290